Diffraction record for Ac12PmIr7. The X-ray diffraction stick pattern is calculated, not measured: it uses a structure optimized by DFT (PBE) and a wavelength of 1.5418 Å.
Intensities are scaled so that the largest is 100.

Structure:
```
data_Ac12PmIr7
_chemical_formula_sum 'Ac36 Pm3 Ir21'
_cell_length_a 15.4803
_cell_length_b 15.4803
_cell_length_c 10.5636
_cell_angle_alpha 90.00
_cell_angle_beta 90.00
_cell_angle_gamma 120.00
_space_group_name_H-M_alt 'R -3'
_space_group_IT_number 148
_space_group_name_Hall '-R 3'
loop_
_atom_site_label
_atom_site_fract_x
_atom_site_fract_y
_atom_site_fract_z
Ac1 0.0271 0.4428 0.1591
Ac2 0.0450 0.8777 0.8247
Pm1 0.0000 0.0000 0.5000
Ir1 0.0000 0.0000 0.0000
Ir2 0.0456 0.8630 0.3355
```

Top 12 peaks for 15 to 90 degrees two-theta, sorted by position:
(hkl), Position (°2θ), intensity
0 2 1, 15.7, 12
1 3 1, 25.4, 19
4 -1 2, 29.4, 100
1 3 4, 42.0, 40
5 2 0, 42.1, 37
8 -2 1, 49.8, 9
0 0 6, 51.9, 7
2 6 2, 52.2, 20
8 -2 4, 60.9, 13
5 2 6, 69.0, 17
9 1 2, 69.2, 16
6 5 4, 76.9, 18